Structure and calculated XRD peak list of PrNdAgOs (a crystal structure in Alexandria, relaxed with PBE; λ = 1.5418 Å (Cu Kα)).
Peak positions follow from Bragg's law for the DFT cell and can differ from measured ones.

Crystal structure
Cell: 7.2534 7.2534 7.2534 Å, 90.00 90.00 90.00°
Positions (direct):
Pr1 0.0000 0.0000 0.0000
Pr2 0.0000 0.5000 0.5000
Pr3 0.5000 0.0000 0.5000
Pr4 0.5000 0.5000 0.0000
Nd1 0.0000 0.0000 0.5000
Nd2 0.0000 0.5000 0.0000
Nd3 0.5000 0.0000 0.0000
Nd4 0.5000 0.5000 0.5000
Ag1 0.2500 0.2500 0.7500
Ag2 0.2500 0.7500 0.2500
Ag3 0.7500 0.2500 0.2500
Ag4 0.7500 0.7500 0.7500
Os1 0.2500 0.2500 0.2500
Os2 0.2500 0.7500 0.7500
Os3 0.7500 0.2500 0.7500
Os4 0.7500 0.7500 0.2500

Peak list (10 most intense, 10 to 90 degrees two-theta, by intensity)
(2 2 0), d 2.564, 35.0 deg, rel. 100
(4 2 2), d 1.481, 62.8 deg, rel. 36
(4 0 0), d 1.813, 50.3 deg, rel. 18
(6 2 0), d 1.147, 84.5 deg, rel. 16
(4 4 0), d 1.282, 73.9 deg, rel. 11
(1 1 1), d 4.188, 21.2 deg, rel. 4
(3 1 1), d 2.187, 41.3 deg, rel. 2
(3 3 1), d 1.664, 55.2 deg, rel. 1
(5 3 1), d 1.226, 77.9 deg, rel. 1
(5 1 1), d 1.396, 67.0 deg, rel. 1